[1]
Theoretical X-ray powder pattern of Ba11Nb6S28 for Cu Ka, from a PBE-relaxed structure.
Neutral-atom scattering factors, no anomalous dispersion.

Peak list (10 most intense, 2θ from 15° to 90°, sorted by position)
2θ 22.4, d = 3.975 Å, intensity 867, (0 2 -3); 2θ 25.4, d = 3.511 Å, intensity 990, (2 0 -1); 2θ 25.5, d = 3.492 Å, intensity 829, (1 -3 0); 2θ 25.6, d = 3.475 Å, intensity 940, (1 3 -1); 2θ 31.8, d = 2.812 Å, intensity 611, (0 0 5); 2θ 33.1, d = 2.708 Å, intensity 454, (-2 2 3); 2θ 33.2, d = 2.700 Å, intensity 1000, (2 2 1); 2θ 34.0, d = 2.640 Å, intensity 533, (2 -2 2); 2θ 34.2, d = 2.623 Å, intensity 466, (2 2 -4); 2θ 34.4, d = 2.607 Å, intensity 401, (0 4 2)

Structure:
```
data_Ba11Nb6S28
_cell_length_a 7.020
_cell_length_b 12.036
_cell_length_c 14.628
_cell_angle_alpha 98.12
_cell_angle_beta 103.64
_cell_angle_gamma 90.33
_symmetry_space_group_name_H-M 'P 1'
_symmetry_Int_Tables_number 1
loop_
_symmetry_equiv_pos_as_xyz
'x,y,z'
loop_
_atom_site_label
_atom_site_type_symbol
_atom_site_fract_x
_atom_site_fract_y
_atom_site_fract_z
Ba1 Ba 0.000 0.000 0.000
Ba2 Ba 0.023 0.623 0.006
Ba3 Ba 0.137 0.375 0.220
Ba4 Ba 0.232 0.742 0.402
Ba5 Ba 0.339 0.448 0.610
Ba6 Ba 0.428 0.803 0.792
Ba7 Ba 0.532 0.197 0.011
Ba8 Ba 0.644 0.876 0.216
Ba9 Ba 0.732 0.242 0.400
Ba10 Ba 0.836 0.936 0.608
Ba11 Ba 0.924 0.307 0.790
Nb1 Nb 0.170 0.043 0.268
Nb2 Nb 0.288 0.098 0.504
Nb3 Nb 0.389 0.130 0.737
Nb4 Nb 0.660 0.558 0.271
Nb5 Nb 0.795 0.585 0.504
Nb6 Nb 0.899 0.634 0.739
S1 S 0.079 0.695 0.611
S2 S 0.088 0.188 0.606
S3 S 0.137 0.868 0.178
S4 S 0.179 0.350 0.005
S5 S 0.185 0.065 0.822
S6 S 0.190 0.555 0.811
S7 S 0.231 0.239 0.400
S8 S 0.331 0.946 0.607
S9 S 0.369 0.128 0.189
S10 S 0.377 0.625 0.189
S11 S 0.436 0.313 0.807
S12 S 0.470 0.991 0.394
S13 S 0.487 0.497 0.403
S14 S 0.489 0.936 0.002
S15 S 0.583 0.189 0.605
S16 S 0.602 0.694 0.614
S17 S 0.635 0.370 0.209
S18 S 0.650 0.790 0.004
S19 S 0.683 0.557 0.813
S20 S 0.687 0.060 0.814
S21 S 0.731 0.737 0.401
S22 S 0.833 0.443 0.607
S23 S 0.874 0.121 0.194
S24 S 0.881 0.350 0.004
S25 S 0.896 0.626 0.204
S26 S 0.956 0.810 0.830
S27 S 0.985 0.493 0.405
S28 S 0.991 0.989 0.395
```

***

[2]
Theoretical X-ray powder pattern of Ba6Nb5S17 for Cu Ka, from a PBE-relaxed structure.
Neutral-atom scattering factors, no anomalous dispersion.

Peak list (10 most intense, 2θ from 15° to 90°, sorted by position)
2θ 21.3, d = 4.170 Å, intensity 505, (2 1 0); 2θ 21.4, d = 4.159 Å, intensity 253, (1 0 2); 2θ 25.4, d = 3.504 Å, intensity 482, (1 1 -2); 2θ 26.0, d = 3.423 Å, intensity 1000, (-2 1 1); 2θ 31.0, d = 2.889 Å, intensity 258, (2 2 2); 2θ 33.5, d = 2.673 Å, intensity 703, (-1 1 3); 2θ 33.6, d = 2.666 Å, intensity 546, (3 1 -1); 2θ 34.3, d = 2.613 Å, intensity 414, (3 -1 1); 2θ 34.4, d = 2.604 Å, intensity 271, (3 2 1); 2θ 53.5, d = 1.712 Å, intensity 330, (-4 2 2)

Structure:
```
data_Ba6Nb5S17
_cell_length_a 8.939
_cell_length_b 8.990
_cell_length_c 9.074
_cell_angle_alpha 83.66
_cell_angle_beta 83.93
_cell_angle_gamma 82.06
_symmetry_space_group_name_H-M 'P 1'
_symmetry_Int_Tables_number 1
loop_
_symmetry_equiv_pos_as_xyz
'x,y,z'
loop_
_atom_site_label
_atom_site_type_symbol
_atom_site_fract_x
_atom_site_fract_y
_atom_site_fract_z
Ba1 Ba 0.000 0.000 0.000
Ba2 Ba 0.153 0.493 0.851
Ba3 Ba 0.321 0.311 0.344
Ba4 Ba 0.484 0.845 0.156
Ba5 Ba 0.666 0.673 0.685
Ba6 Ba 0.818 0.173 0.520
Nb1 Nb 0.040 0.785 0.425
Nb2 Nb 0.386 0.066 0.741
Nb3 Nb 0.570 0.252 0.918
Nb4 Nb 0.731 0.422 0.094
Nb5 Nb 0.908 0.573 0.261
S1 S 0.012 0.507 0.507
S2 S 0.151 0.177 0.678
S3 S 0.165 0.658 0.197
S4 S 0.165 0.990 0.335
S5 S 0.322 0.172 0.008
S6 S 0.329 0.830 0.848
S7 S 0.480 0.352 0.676
S8 S 0.481 0.510 0.013
S9 S 0.503 0.001 0.510
S10 S 0.644 0.515 0.348
S11 S 0.660 0.168 0.176
S12 S 0.664 0.004 0.839
S13 S 0.805 0.841 0.335
S14 S 0.827 0.340 0.841
S15 S 0.830 0.671 0.009
S16 S 0.989 0.321 0.183
S17 S 0.994 0.820 0.676
```

***

[3]
Theoretical X-ray powder pattern of Ba4Nb3Se12 for Cu Ka, from a PBE-relaxed structure.
Neutral-atom scattering factors, no anomalous dispersion.

Peak list (10 most intense, 2θ from 15° to 90°, sorted by position)
2θ 24.7, d = 3.606 Å, intensity 155, (3 1 0); 2θ 29.5, d = 3.031 Å, intensity 313, (4 0 -4); 2θ 31.9, d = 2.805 Å, intensity 238, (2 0 2); 2θ 32.0, d = 2.795 Å, intensity 290, (6 0 -2); 2θ 32.8, d = 2.732 Å, intensity 1000, (0 2 2); 2θ 41.9, d = 2.156 Å, intensity 162, (2 2 -4); 2θ 42.0, d = 2.151 Å, intensity 124, (6 2 -4); 2θ 50.6, d = 1.803 Å, intensity 270, (6 2 0); 2θ 61.2, d = 1.515 Å, intensity 143, (8 0 -8); 2θ 62.6, d = 1.483 Å, intensity 143, (6 4 -2)

Structure:
```
data_Ba4Nb3Se12
_cell_length_a 17.465
_cell_length_b 6.996
_cell_length_c 12.124
_cell_angle_alpha 90.00
_cell_angle_beta 133.70
_cell_angle_gamma 90.00
_symmetry_space_group_name_H-M 'C 1 2/m 1'
_symmetry_Int_Tables_number 12
loop_
_symmetry_equiv_pos_as_xyz
'x,y,z'
'-x,-y,-z'
'-x,y,-z'
'x,-y,z'
'x+1/2,y+1/2,z'
'-x+1/2,-y+1/2,-z'
'-x+1/2,y+1/2,-z'
'x+1/2,-y+1/2,z'
loop_
_atom_site_label
_atom_site_type_symbol
_atom_site_fract_x
_atom_site_fract_y
_atom_site_fract_z
Ba1 Ba 0.166 0.000 0.291
Ba2 Ba 0.168 0.000 0.799
Nb1 Nb 0.000 0.500 0.500
Nb2 Nb 0.001 0.500 0.220
Se1 Se 0.083 0.241 0.455
Se2 Se 0.087 0.235 0.963
Se3 Se 0.166 0.500 0.793
Se4 Se 0.175 0.500 0.304
```

***

[4]
Theoretical X-ray powder pattern of Ba4Nb3Se12 for Cu Ka, from a PBE-relaxed structure.
Neutral-atom scattering factors, no anomalous dispersion.

Peak list (10 most intense, 2θ from 15° to 90°, sorted by position)
2θ 24.7, d = 3.609 Å, intensity 147, (0 1 3); 2θ 29.6, d = 3.013 Å, intensity 303, (2 0 0); 2θ 31.8, d = 2.811 Å, intensity 558, (1 0 -4); 2θ 33.1, d = 2.707 Å, intensity 1000, (1 2 2); 2θ 33.2, d = 2.698 Å, intensity 118, (2 1 -1); 2θ 42.3, d = 2.137 Å, intensity 340, (2 2 2); 2θ 50.6, d = 1.804 Å, intensity 251, (0 2 6); 2θ 53.1, d = 1.723 Å, intensity 121, (0 4 0); 2θ 54.8, d = 1.675 Å, intensity 231, (3 2 -2); 2θ 63.3, d = 1.469 Å, intensity 144, (1 4 -4)

Structure:
```
data_Ba4Nb3Se12
_cell_length_a 6.027
_cell_length_b 6.894
_cell_length_c 12.707
_cell_angle_alpha 90.00
_cell_angle_beta 90.18
_cell_angle_gamma 90.00
_symmetry_space_group_name_H-M 'P 1 2/m 1'
_symmetry_Int_Tables_number 10
loop_
_symmetry_equiv_pos_as_xyz
'x,y,z'
'-x,-y,-z'
'-x,y,-z'
'x,-y,z'
loop_
_atom_site_label
_atom_site_type_symbol
_atom_site_fract_x
_atom_site_fract_y
_atom_site_fract_z
Ba1 Ba 0.244 0.000 0.313
Ba2 Ba 0.245 0.500 0.849
Nb1 Nb 0.000 0.000 0.000
Nb2 Nb 0.000 0.500 0.500
Nb3 Nb 0.500 0.500 0.500
Se1 Se 0.250 0.236 0.584
Se2 Se 0.251 0.000 0.831
Se3 Se 0.251 0.500 0.329
Se4 Se 0.254 0.261 0.084
```

***

[5]
Theoretical X-ray powder pattern of BaNbTc2 for Cu Ka, from a PBE-relaxed structure.
Neutral-atom scattering factors, no anomalous dispersion.

Peak list (6 most intense, 2θ from 15° to 90°, sorted by position)
2θ 22.6, d = 3.932 Å, intensity 16, (1 1 1); 2θ 37.3, d = 2.408 Å, intensity 1000, (2 2 0); 2θ 44.1, d = 2.054 Å, intensity 9, (3 1 1); 2θ 53.8, d = 1.703 Å, intensity 170, (4 0 0); 2θ 67.4, d = 1.390 Å, intensity 343, (4 2 2); 2θ 79.6, d = 1.204 Å, intensity 107, (4 4 0)

Structure:
```
data_BaNbTc2
_cell_length_a 6.811
_cell_length_b 6.811
_cell_length_c 6.811
_cell_angle_alpha 90.00
_cell_angle_beta 90.00
_cell_angle_gamma 90.00
_symmetry_space_group_name_H-M 'F m -3 m'
_symmetry_Int_Tables_number 225
_symmetry_space_group_name_Hall '-F 4 2 3'
loop_
_atom_site_label
_atom_site_type_symbol
_atom_site_fract_x
_atom_site_fract_y
_atom_site_fract_z
Ba1 Ba 0.000 0.000 0.000
Nb1 Nb 0.000 0.000 0.500
Tc1 Tc 0.250 0.250 0.250
```

***

[6]
Theoretical X-ray powder pattern of Ba3Nd for Cu Ka, from a PBE-relaxed structure.
Neutral-atom scattering factors, no anomalous dispersion.

Peak list (10 most intense, 2θ from 15° to 90°, sorted by position)
2θ 24.1, d = 3.692 Å, intensity 232, (2 0 0); 2θ 26.3, d = 3.384 Å, intensity 250, (0 0 2); 2θ 27.5, d = 3.241 Å, intensity 1000, (2 0 1); 2θ 36.0, d = 2.495 Å, intensity 163, (2 0 2); 2θ 42.4, d = 2.132 Å, intensity 203, (2 2 0); 2θ 47.2, d = 1.925 Å, intensity 226, (2 0 3); 2θ 50.6, d = 1.804 Å, intensity 241, (2 2 2); 2θ 51.3, d = 1.781 Å, intensity 172, (4 0 1); 2θ 68.7, d = 1.367 Å, intensity 141, (4 2 1); 2θ 81.0, d = 1.187 Å, intensity 91, (4 2 3)

Structure:
```
data_Ba3Nd
_cell_length_a 8.5270
_cell_length_b 8.5270
_cell_length_c 6.7686
_cell_angle_alpha 90.00
_cell_angle_beta 90.00
_cell_angle_gamma 120.00
_symmetry_space_group_name_H-M 'P 63/m m c'
_symmetry_Int_Tables_number 194
_symmetry_space_group_name_Hall '-P 6c 2c'
loop_
_atom_site_label
_atom_site_type_symbol
_atom_site_fract_x
_atom_site_fract_y
_atom_site_fract_z
Ba1 Ba 0.1726 0.3451 0.2500
Nd1 Nd 0.3333 0.6667 0.7500
```